(1)
ErSi3Pd5: theoretical PXRD pattern (Cu Kα (weighted mean of Kα1 and Kα2)), based on a structure optimized by DFT (PBE).
Neutral-atom scattering factors, no anomalous dispersion.

The 8 most intense peaks (2θ from 10° to 90°), sorted by position:
2θ 25.3, d 3.517, intensity 62
2θ 31.7, d 2.825, intensity 91
2θ 32.4, d 2.767, intensity 100
2θ 32.5, d 2.758, intensity 59
2θ 34.7, d 2.582, intensity 50
2θ 37.5, d 2.398, intensity 88
2θ 45.4, d 1.997, intensity 45
2θ 47.7, d 1.908, intensity 52

Unit cell a=6.5863 b=6.5863 c=12.7169 alpha=90.00 beta=90.00 gamma=146.32
Fractional positions:
Er 0.1409 0.8591 0.7500
Er 0.8591 0.1409 0.2500
Si 0.1190 0.8810 0.2500
Si 0.3834 0.6166 0.0401
Si 0.3834 0.6166 0.4599
Si 0.6166 0.3834 0.5401
Si 0.6166 0.3834 0.9599
Si 0.8810 0.1190 0.7500
Pd 0.0000 0.0000 0.0000
Pd 0.0000 0.0000 0.5000
Pd 0.2058 0.7942 0.0782
Pd 0.2058 0.7942 0.4218
Pd 0.4528 0.5472 0.6467
Pd 0.4528 0.5472 0.8533
Pd 0.5472 0.4528 0.1467
Pd 0.5472 0.4528 0.3533
Pd 0.7942 0.2058 0.5782
Pd 0.7942 0.2058 0.9218

(2)
Li7SmBi4: theoretical PXRD pattern (Cu Kα (weighted mean of Kα1 and Kα2)), based on a structure optimized by DFT (PBE).
Neutral-atom scattering factors, no anomalous dispersion.

The 8 most intense peaks (2θ from 10° to 90°), sorted by position:
2θ 19.3, d 4.610, intensity 22
2θ 20.9, d 4.258, intensity 30
2θ 24.1, d 3.697, intensity 100
2θ 27.9, d 3.202, intensity 56
2θ 29.7, d 3.010, intensity 40
2θ 34.5, d 2.599, intensity 29
2θ 46.1, d 1.967, intensity 25
2θ 47.2, d 1.926, intensity 20

Unit cell a=6.8563 b=6.8563 c=10.4214 alpha=122.23 beta=122.23 gamma=44.55
Fractional positions:
Li 0.0000 0.0000 0.0000
Li 0.1827 0.1827 0.9017
Li 0.2032 0.2032 0.6337
Li 0.4077 0.4077 0.5607
Li 0.5923 0.5923 0.4393
Li 0.7968 0.7968 0.3663
Li 0.8173 0.8173 0.0983
Sm 0.5000 0.5000 0.0000
Bi 0.0875 0.0875 0.2994
Bi 0.3001 0.3001 0.2190
Bi 0.6999 0.6999 0.7810
Bi 0.9125 0.9125 0.7006

(3)
Ce3TlH: theoretical PXRD pattern (Cu Kα (weighted mean of Kα1 and Kα2)), based on a structure optimized by DFT (PBE).
Neutral-atom scattering factors, no anomalous dispersion.

The 8 most intense peaks (2θ from 10° to 90°), sorted by position:
2θ 30.6, d 2.922, intensity 58
2θ 30.9, d 2.891, intensity 37
2θ 34.1, d 2.632, intensity 58
2θ 34.6, d 2.591, intensity 100
2θ 44.1, d 2.055, intensity 28
2θ 54.2, d 1.692, intensity 18
2θ 57.0, d 1.615, intensity 24
2θ 66.6, d 1.403, intensity 16

Unit cell a=6.6355 b=5.8946 c=5.8430 alpha=90.00 beta=90.00 gamma=90.00
Fractional positions:
Ce 0.0000 0.0666 0.0000
Ce 0.2441 0.6678 0.9905
Ce 0.2559 0.3322 0.4905
Ce 0.5000 0.9334 0.5000
Ce 0.7441 0.3322 0.4905
Ce 0.7559 0.6678 0.9905
Tl 0.0000 0.8234 0.4949
Tl 0.5000 0.1766 0.9949
H 0.0000 0.4109 0.7926
H 0.5000 0.5891 0.2926

(4)
AcTb12Er6: theoretical PXRD pattern (Cu Kα (weighted mean of Kα1 and Kα2)), based on a structure optimized by DFT (PBE).
Neutral-atom scattering factors, no anomalous dispersion.

The 8 most intense peaks (2θ from 10° to 90°), sorted by position:
2θ 26.4, d 3.373, intensity 96
2θ 28.6, d 3.124, intensity 100
2θ 31.5, d 2.838, intensity 73
2θ 35.0, d 2.563, intensity 76
2θ 37.5, d 2.397, intensity 43
2θ 38.0, d 2.367, intensity 37
2θ 39.1, d 2.303, intensity 72
2θ 63.4, d 1.467, intensity 42

Unit cell a=9.2425 b=9.2425 c=9.2425 alpha=106.96 beta=106.96 gamma=106.96
Fractional positions:
Ac 0.0000 0.0000 0.0000
Tb 0.1117 0.5000 0.8883
Tb 0.1117 0.8883 0.5000
Tb 0.1607 0.3839 0.3839
Tb 0.3839 0.1607 0.3839
Tb 0.3839 0.3839 0.1607
Tb 0.5000 0.1117 0.8883
Tb 0.5000 0.8883 0.1117
Tb 0.6161 0.6161 0.8393
Tb 0.6161 0.8393 0.6161
Tb 0.8393 0.6161 0.6161
Tb 0.8883 0.1117 0.5000
Tb 0.8883 0.5000 0.1117
Er 0.2677 0.6979 0.6979
Er 0.3021 0.3021 0.7323
Er 0.3021 0.7323 0.3021
Er 0.6979 0.2676 0.6979
Er 0.6979 0.6979 0.2677
Er 0.7323 0.3021 0.3021